(1)
The following is a calculated PXRD pattern of CaAcPr2In4. It was derived from DFT lattice parameters and positions (GGA-PBE), using Cu Kα, 1.54184 Å.
No peak broadening, texture or thermal motion is included.

Structure:
```
CaAcPr2In4
1.0
2.7819 1.6061 9.2197
-2.7819 1.6061 9.2197
0.0000 -3.2123 9.2197
Ca Ac Pr In
1 1 2 4
Cartesian
0.0000 0.0000 0.0000
0.0000 0.0000 13.8296
0.0000 0.0000 7.0233
0.0000 0.0000 20.6359
0.0000 0.0000 3.4053
0.0000 0.0000 10.3319
0.0000 0.0000 17.3273
0.0000 0.0000 24.2538
```

Principal peaks in the range 10° ≤ 2θ ≤ 90°, most intense first:
2.809 Å, intensity 1000; 2.782 Å, intensity 988; 1.611 Å, intensity 371; 1.977 Å, intensity 360; 1.606 Å, intensity 186; 1.627 Å, intensity 184; 1.247 Å, intensity 157; 1.254 Å, intensity 153; 1.391 Å, intensity 114; 4.747 Å, intensity 114; 1.405 Å, intensity 112; 3.633 Å, intensity 99

(2)
The following is a calculated PXRD pattern of CaAcInSn. It was derived from DFT lattice parameters and positions (GGA-PBE), using Cu Kα, 1.54184 Å.
No peak broadening, texture or thermal motion is included.

Structure:
```
CaAcInSn
1.0
4.5938 0.0000 0.0000
0.0000 4.9212 0.0000
0.0000 0.0000 11.9720
Ca Ac In Sn
2 2 2 2
Cartesian
0.0000 0.0000 0.0000
0.0000 2.4606 5.9860
2.2969 0.0000 3.2497
2.2969 2.4606 9.2357
0.0000 0.0000 8.5278
0.0000 2.4606 2.5418
2.2969 0.0000 6.6271
2.2969 2.4606 0.6411
```

Principal peaks in the range 10° ≤ 2θ ≤ 90°, most intense first:
3.233 Å, intensity 1000; 2.569 Å, intensity 808; 5.986 Å, intensity 348; 2.461 Å, intensity 273; 2.508 Å, intensity 270; 3.100 Å, intensity 269; 2.993 Å, intensity 232; 2.297 Å, intensity 224; 4.552 Å, intensity 207; 1.756 Å, intensity 189; 1.616 Å, intensity 184; 1.679 Å, intensity 171